For PaMn2Pd8, the PBE geometry in Alexandria gives the simulated X-ray diffraction stick pattern in this record (Cu Kα, 1.54184 Å).

Principal peaks in the range 2θ from 15° to 90°, low angle first:
d (Å)  2θ/deg  Rel. int.
4.075  21.8  11
2.971  30.1  11
2.390  37.6  30
2.246  40.2  100
2.206  40.9  14
2.190  41.2  10
2.151  42.0  29
2.120  42.7  18
1.510  61.4  12
1.259  75.5  15

Atomic structure:
```
11
Lattice="-2.1511 6.3597 3.3595 2.1511 -6.3597 3.3595 2.1511 6.3597 -3.3595" Properties=species:S:1:pos:R:3 pbc="T T T"
Pa 0.0000 0.0000 0.0000
Mn 0.0000 4.3909 0.5576
Mn 0.0000 8.3284 0.5576
Pd 2.1511 4.3902 -1.2852
Pd 2.1511 1.8639 0.1186
Pd 2.1511 0.0000 2.1335
Pd 0.0000 1.9695 2.0743
Pd 2.1511 3.8453 1.9853
Pd 0.0000 0.0000 4.0249
Pd 0.0000 4.4958 3.4781
Pd 0.0000 2.5144 5.3448
```